Calculated powder diffractogram
Compound: V2Hg2O7
Radiation: Cu Kα X-rays
Structure: a PBE+U-relaxed structure
Intensities are scaled so that the largest is 100.

Cell and atoms:
a = 7.2828 Å, b = 3.6921 Å, c = 22.0366 Å
α = 90.00°, β = 90.00°, γ = 90.00°
Atoms (fractional coordinates):
V 0.0238 0.2500 0.1180
V 0.2022 0.7500 0.0201
V 0.2978 0.2500 0.5201
V 0.4762 0.7500 0.6180
V 0.5238 0.2500 0.3820
V 0.7022 0.7500 0.4799
V 0.7978 0.2500 0.9799
V 0.9762 0.7500 0.8820
Hg 0.0339 0.2500 0.3720
Hg 0.2242 0.2500 0.7475
Hg 0.2758 0.7500 0.2475
Hg 0.4661 0.7500 0.8720
Hg 0.5339 0.2500 0.1280
Hg 0.7242 0.2500 0.7525
Hg 0.7758 0.7500 0.2525
Hg 0.9661 0.7500 0.6280
O 0.0307 0.7500 0.2997
O 0.0315 0.7500 0.0945
O 0.0937 0.2500 0.5539
O 0.1268 0.2500 0.0288
O 0.1392 0.7500 0.8268
O 0.2245 0.2500 0.1595
O 0.2380 0.7500 0.9422
O 0.2620 0.2500 0.4422
O 0.2755 0.7500 0.6595
O 0.3608 0.2500 0.3268
O 0.3732 0.7500 0.5288
O 0.4063 0.7500 0.0539
O 0.4685 0.2500 0.5945
O 0.4693 0.2500 0.7997
O 0.5307 0.7500 0.2003
O 0.5315 0.7500 0.4055
O 0.5937 0.2500 0.9461
O 0.6268 0.2500 0.4712
O 0.6392 0.7500 0.6732
O 0.7245 0.2500 0.3405
O 0.7380 0.7500 0.5578
O 0.7620 0.2500 0.0578
O 0.7755 0.7500 0.8405
O 0.8608 0.2500 0.1732
O 0.8732 0.7500 0.9712
O 0.9063 0.7500 0.4461
O 0.9685 0.2500 0.9055
O 0.9693 0.2500 0.7003

Peak list (10 most intense, 5° ≤ 2θ ≤ 70°, in order of rising 2θ)
h k l  2theta  I (rel.)
0 0 2  8.0  70.8
1 0 3  17.1  29.2
0 1 3  27.0  77.4
2 0 4  29.4  100.0
0 1 5  31.6  75.5
0 0 8  32.5  32.2
2 1 1  34.8  61.5
2 1 7  45.3  33.7
2 1 9  51.3  35.9
2 2 4  58.5  34.3